[1]
For ThGeI6, the GGA-PBE geometry in the Materials Project gives the computed PXRD pattern in this record (Cu Kα X-rays).

Cell and atoms:
abc: 7.5785 7.5785 13.9969
angles: 90.00 90.00 120.00
Atoms (fractional coordinates):
Th 0.0000 0.0000 0.0000
Th 0.0000 0.0000 0.5000
Ge 0.3333 0.6667 0.2500
Ge 0.6667 0.3333 0.7500
I 0.0027 0.3357 0.3740
I 0.0027 0.6670 0.1260
I 0.3330 0.3357 0.1260
I 0.3330 0.9973 0.3740
I 0.3357 0.0027 0.8740
I 0.3357 0.3330 0.6260
I 0.6643 0.6670 0.3740
I 0.6643 0.9973 0.1260
I 0.6670 0.0027 0.6260
I 0.6670 0.6643 0.8740
I 0.9973 0.3330 0.8740
I 0.9973 0.6643 0.6260

Principal peaks in the range 10° ≤ 2θ ≤ 90°, low angle first:
d (Å)	I_rel
6.563	17
4.787	36
3.332	100
2.571	51
2.188	39
1.987	23
1.829	18
1.666	14
1.403	15
1.366	17

---

[2]
For TlGeI3, the GGA-PBE geometry in the Materials Project gives the computed PXRD pattern in this record (Cu Kα X-rays).

Cell and atoms:
abc: 10.4102 4.4547 16.5672
angles: 90.00 90.00 90.00
Atoms (fractional coordinates):
Tl 0.0655 0.2500 0.1737
Tl 0.4345 0.7500 0.6737
Tl 0.5655 0.2500 0.3263
Tl 0.9345 0.7500 0.8263
Ge 0.1650 0.7500 0.4419
Ge 0.3350 0.2500 0.9419
Ge 0.6650 0.7500 0.0581
Ge 0.8350 0.2500 0.5581
I 0.0150 0.7500 0.6113
I 0.1648 0.7500 0.0085
I 0.2061 0.2500 0.7883
I 0.2939 0.7500 0.2883
I 0.3352 0.2500 0.5085
I 0.4850 0.2500 0.1113
I 0.5150 0.7500 0.8887
I 0.6648 0.7500 0.4915
I 0.7061 0.2500 0.7117
I 0.7939 0.7500 0.2117
I 0.8352 0.2500 0.9915
I 0.9850 0.2500 0.3887

Principal peaks in the range 10° ≤ 2θ ≤ 90°, low angle first:
d (Å)	I_rel
3.316	100
3.290	56
3.241	38
3.201	23
3.157	51
3.133	79
2.659	47
2.227	35
2.049	21
1.820	21

---

Repeat the first record exactly.
For ThGeI6, the GGA-PBE geometry in the Materials Project gives the computed PXRD pattern in this record (Cu Kα X-rays).

Cell and atoms:
abc: 7.5785 7.5785 13.9969
angles: 90.00 90.00 120.00
Atoms (fractional coordinates):
Th 0.0000 0.0000 0.0000
Th 0.0000 0.0000 0.5000
Ge 0.3333 0.6667 0.2500
Ge 0.6667 0.3333 0.7500
I 0.0027 0.3357 0.3740
I 0.0027 0.6670 0.1260
I 0.3330 0.3357 0.1260
I 0.3330 0.9973 0.3740
I 0.3357 0.0027 0.8740
I 0.3357 0.3330 0.6260
I 0.6643 0.6670 0.3740
I 0.6643 0.9973 0.1260
I 0.6670 0.0027 0.6260
I 0.6670 0.6643 0.8740
I 0.9973 0.3330 0.8740
I 0.9973 0.6643 0.6260

Principal peaks in the range 10° ≤ 2θ ≤ 90°, low angle first:
d (Å)	I_rel
6.563	17
4.787	36
3.332	100
2.571	51
2.188	39
1.987	23
1.829	18
1.666	14
1.403	15
1.366	17